(1)
This entry pairs a crystal structure of V2SeS2 with its simulated X-ray diffraction stick pattern. Radiation: λ = 1.5418 Å (Cu Kα). Structure: a structure optimized by DFT (GGA-PBE).

Structural model:
Lattice parameters (Å, degrees): 6.867 6.867 6.867 121.56 121.56 87.32
Sites, in units of the cell vectors:
V  0.228  0.000  0.228
V  0.750  0.022  0.272
V  0.750  0.478  0.728
V  0.772  0.000  0.772
Se  0.345  0.845  0.500
Se  0.595  0.595  0.000
S  0.476  0.232  0.244
S  0.982  0.239  0.256
S  0.982  0.726  0.744
S  0.989  0.232  0.756

Main lines, in order of falling intensity (2θ from 10° to 90°):
2θ (°)	I (rel.)
31.16	100
25.98	54
15.95	51
53.43	48
30.10	38
49.90	35

=====

(2)
This entry pairs a crystal structure of W3Se4S2 with its simulated X-ray diffraction stick pattern. Radiation: λ = 1.5418 Å (Cu Kα). Structure: a structure optimized by DFT (GGA-PBE).

Structural model:
Lattice parameters (Å, degrees): 3.277 3.277 25.262 90.00 90.00 120.00
Sites, in units of the cell vectors:
W  0.000  0.000  0.000
W  0.000  0.000  0.421
W  0.333  0.667  0.707
Se  0.000  0.000  0.639
Se  0.000  0.000  0.774
Se  0.333  0.667  0.067
Se  0.333  0.667  0.933
S  0.333  0.667  0.360
S  0.333  0.667  0.482

Main lines, in order of falling intensity (2θ from 10° to 90°):
2θ (°)	I (rel.)
10.51	100
36.31	44
45.45	25
14.02	23
31.53	19
42.85	19

=====

(3)
This entry pairs a crystal structure of YSeS with its simulated X-ray diffraction stick pattern. Radiation: λ = 1.5418 Å (Cu Kα). Structure: a structure optimized by DFT (GGA-PBE).

Structural model:
Lattice parameters (Å, degrees): 4.049 5.442 13.184 90.00 90.00 90.00
Sites, in units of the cell vectors:
Y  0.000  0.000  0.155
Y  0.000  0.000  0.845
Y  0.500  0.500  0.345
Y  0.500  0.500  0.655
Se  0.000  0.278  0.500
Se  0.000  0.722  0.500
Se  0.500  0.222  0.000
Se  0.500  0.778  0.000
S  0.000  0.500  0.212
S  0.000  0.500  0.788
S  0.500  0.000  0.288
S  0.500  0.000  0.712

Main lines, in order of falling intensity (2θ from 10° to 90°):
2θ (°)	I (rel.)
30.01	100
40.52	42
17.63	33
35.70	32
38.92	26
44.76	18

=====

Copy entry 2 word for word.
This entry pairs a crystal structure of W3Se4S2 with its simulated X-ray diffraction stick pattern. Radiation: λ = 1.5418 Å (Cu Kα). Structure: a structure optimized by DFT (GGA-PBE).

Structural model:
Lattice parameters (Å, degrees): 3.277 3.277 25.262 90.00 90.00 120.00
Sites, in units of the cell vectors:
W  0.000  0.000  0.000
W  0.000  0.000  0.421
W  0.333  0.667  0.707
Se  0.000  0.000  0.639
Se  0.000  0.000  0.774
Se  0.333  0.667  0.067
Se  0.333  0.667  0.933
S  0.333  0.667  0.360
S  0.333  0.667  0.482

Main lines, in order of falling intensity (2θ from 10° to 90°):
2θ (°)	I (rel.)
10.51	100
36.31	44
45.45	25
14.02	23
31.53	19
42.85	19